Starting from a structure optimized by DFT (PBE), the PXRD pattern of Sm6HoTl4 was computed for CuKα.
Neutral-atom scattering factors, no anomalous dispersion.

Peak list (10 most intense, 2θ = 15–90°, sorted by position)
| 2θ (°) | I_rel |
| --- | --- |
| 27.37 | 43 |
| 29.38 | 73 |
| 31.81 | 28 |
| 34.79 | 100 |
| 37.45 | 47 |
| 39.10 | 67 |
| 51.25 | 28 |
| 55.26 | 31 |
| 56.49 | 22 |
| 68.07 | 28 |

Structural model:
```
data_Sm6HoTl4
_cell_length_a 9.616
_cell_length_b 9.616
_cell_length_c 9.616
_cell_angle_alpha 140.39
_cell_angle_beta 140.39
_cell_angle_gamma 57.26
_symmetry_space_group_name_H-M 'P 1'
_symmetry_Int_Tables_number 1
loop_
_symmetry_equiv_pos_as_xyz
'x,y,z'
loop_
_atom_site_label
_atom_site_type_symbol
_atom_site_fract_x
_atom_site_fract_y
_atom_site_fract_z
Sm1 Sm 0.000 0.500 0.500
Sm2 Sm 0.084 0.084 0.527
Sm3 Sm 0.443 0.916 0.000
Sm4 Sm 0.500 0.000 0.500
Sm5 Sm 0.557 0.557 0.473
Sm6 Sm 0.916 0.443 0.000
Ho1 Ho 0.000 0.000 0.000
Tl1 Tl 0.108 0.623 0.000
Tl2 Tl 0.377 0.377 0.485
Tl3 Tl 0.623 0.108 0.000
Tl4 Tl 0.892 0.892 0.515
```

Starting from a structure optimized by DFT (PBE), the PXRD pattern of SmHo4Tl2 was computed for CuKα.
Neutral-atom scattering factors, no anomalous dispersion.

Peak list (10 most intense, 2θ = 15–90°, sorted by position)
| 2θ (°) | I_rel |
| --- | --- |
| 32.38 | 27 |
| 33.12 | 100 |
| 33.27 | 29 |
| 47.11 | 19 |
| 47.98 | 7 |
| 58.16 | 9 |
| 58.30 | 6 |
| 58.97 | 5 |
| 59.35 | 19 |
| 59.64 | 7 |

Structural model:
```
data_SmHo4Tl2
_cell_length_a 8.721
_cell_length_b 8.721
_cell_length_c 9.883
_cell_angle_alpha 105.60
_cell_angle_beta 105.60
_cell_angle_gamma 35.98
_symmetry_space_group_name_H-M 'P 1'
_symmetry_Int_Tables_number 1
loop_
_symmetry_equiv_pos_as_xyz
'x,y,z'
loop_
_atom_site_label
_atom_site_type_symbol
_atom_site_fract_x
_atom_site_fract_y
_atom_site_fract_z
Sm1 Sm 0.099 0.099 0.073
Sm2 Sm 0.901 0.901 0.927
Ho1 Ho 0.034 0.034 0.687
Ho2 Ho 0.258 0.258 0.918
Ho3 Ho 0.296 0.296 0.306
Ho4 Ho 0.360 0.360 0.673
Ho5 Ho 0.640 0.640 0.327
Ho6 Ho 0.704 0.704 0.694
Ho7 Ho 0.742 0.742 0.082
Ho8 Ho 0.966 0.966 0.313
Tl1 Tl 0.158 0.158 0.502
Tl2 Tl 0.448 0.448 0.132
Tl3 Tl 0.552 0.552 0.868
Tl4 Tl 0.842 0.842 0.498
```

Starting from a structure optimized by DFT (PBE), the PXRD pattern of Sm3Ho7Tl was computed for CuKα.
Neutral-atom scattering factors, no anomalous dispersion.

Peak list (10 most intense, 2θ = 15–90°, sorted by position)
| 2θ (°) | I_rel |
| --- | --- |
| 18.00 | 4 |
| 25.56 | 2 |
| 31.44 | 100 |
| 36.46 | 51 |
| 52.52 | 35 |
| 62.50 | 42 |
| 65.62 | 12 |
| 77.46 | 6 |
| 85.97 | 18 |
| 88.78 | 17 |

Structural model:
```
data_Sm3Ho7Tl
_cell_length_a 6.969
_cell_length_b 6.969
_cell_length_c 8.538
_cell_angle_alpha 90.00
_cell_angle_beta 90.00
_cell_angle_gamma 120.00
_symmetry_space_group_name_H-M 'P 1'
_symmetry_Int_Tables_number 1
loop_
_symmetry_equiv_pos_as_xyz
'x,y,z'
loop_
_atom_site_label
_atom_site_type_symbol
_atom_site_fract_x
_atom_site_fract_y
_atom_site_fract_z
Sm1 Sm 0.002 0.501 0.000
Sm2 Sm 0.499 0.501 0.000
Sm3 Sm 0.499 0.998 0.000
Ho1 Ho 0.170 0.339 0.339
Ho2 Ho 0.170 0.830 0.339
Ho3 Ho 0.333 0.667 0.671
Ho4 Ho 0.335 0.168 0.660
Ho5 Ho 0.661 0.830 0.339
Ho6 Ho 0.832 0.168 0.660
Ho7 Ho 0.832 0.665 0.660
Tl1 Tl 0.667 0.333 0.342
```

Starting from a structure optimized by DFT (PBE), the PXRD pattern of Sm3Ho2Tl was computed for CuKα.
Neutral-atom scattering factors, no anomalous dispersion.

Peak list (10 most intense, 2θ = 15–90°, sorted by position)
| 2θ (°) | I_rel |
| --- | --- |
| 28.20 | 24 |
| 29.71 | 14 |
| 30.77 | 28 |
| 31.45 | 100 |
| 32.21 | 46 |
| 32.30 | 27 |
| 33.66 | 14 |
| 35.19 | 19 |
| 37.88 | 16 |
| 56.95 | 15 |

Structural model:
```
data_Sm3Ho2Tl
_cell_length_a 9.291
_cell_length_b 9.291
_cell_length_c 6.472
_cell_angle_alpha 98.57
_cell_angle_beta 98.57
_cell_angle_gamma 43.05
_symmetry_space_group_name_H-M 'P 1'
_symmetry_Int_Tables_number 1
loop_
_symmetry_equiv_pos_as_xyz
'x,y,z'
loop_
_atom_site_label
_atom_site_type_symbol
_atom_site_fract_x
_atom_site_fract_y
_atom_site_fract_z
Sm1 Sm 0.052 0.286 0.041
Sm2 Sm 0.228 0.772 0.750
Sm3 Sm 0.286 0.052 0.541
Sm4 Sm 0.714 0.948 0.459
Sm5 Sm 0.772 0.228 0.250
Sm6 Sm 0.948 0.714 0.959
Ho1 Ho 0.230 0.446 0.427
Ho2 Ho 0.446 0.230 0.927
Ho3 Ho 0.554 0.770 0.073
Ho4 Ho 0.770 0.554 0.573
Tl1 Tl 0.282 0.718 0.250
Tl2 Tl 0.718 0.282 0.750
```

Starting from a structure optimized by DFT (PBE), the PXRD pattern of Sm2HoTl3 was computed for CuKα.
Neutral-atom scattering factors, no anomalous dispersion.

Peak list (10 most intense, 2θ = 15–90°, sorted by position)
| 2θ (°) | I_rel |
| --- | --- |
| 32.86 | 100 |
| 33.36 | 49 |
| 46.42 | 9 |
| 47.89 | 18 |
| 58.36 | 19 |
| 59.31 | 38 |
| 68.91 | 12 |
| 77.37 | 8 |
| 79.58 | 8 |
| 79.85 | 8 |

Structural model:
```
data_Sm2HoTl3
_cell_length_a 3.799
_cell_length_b 3.799
_cell_length_c 11.737
_cell_angle_alpha 90.00
_cell_angle_beta 90.00
_cell_angle_gamma 90.00
_symmetry_space_group_name_H-M 'P 1'
_symmetry_Int_Tables_number 1
loop_
_symmetry_equiv_pos_as_xyz
'x,y,z'
loop_
_atom_site_label
_atom_site_type_symbol
_atom_site_fract_x
_atom_site_fract_y
_atom_site_fract_z
Sm1 Sm 0.000 0.000 0.170
Sm2 Sm 0.000 0.000 0.830
Ho1 Ho 0.000 0.000 0.500
Tl1 Tl 0.500 0.500 0.000
Tl2 Tl 0.500 0.500 0.341
Tl3 Tl 0.500 0.500 0.659
```

Starting from a structure optimized by DFT (PBE), the PXRD pattern of SmHo12Tl3 was computed for CuKα.
Neutral-atom scattering factors, no anomalous dispersion.

Peak list (10 most intense, 2θ = 15–90°, sorted by position)
| 2θ (°) | I_rel |
| --- | --- |
| 31.76 | 100 |
| 36.27 | 17 |
| 37.11 | 33 |
| 52.86 | 23 |
| 53.49 | 12 |
| 62.44 | 13 |
| 63.56 | 28 |
| 66.35 | 12 |
| 86.69 | 11 |
| 87.69 | 6 |

Structural model:
```
data_SmHo12Tl3
_cell_length_a 4.845
_cell_length_b 4.845
_cell_length_c 19.813
_cell_angle_alpha 90.00
_cell_angle_beta 90.00
_cell_angle_gamma 90.00
_symmetry_space_group_name_H-M 'P 1'
_symmetry_Int_Tables_number 1
loop_
_symmetry_equiv_pos_as_xyz
'x,y,z'
loop_
_atom_site_label
_atom_site_type_symbol
_atom_site_fract_x
_atom_site_fract_y
_atom_site_fract_z
Sm1 Sm 0.000 0.000 0.000
Ho1 Ho 0.000 0.500 0.131
Ho2 Ho 0.000 0.500 0.377
Ho3 Ho 0.000 0.500 0.623
Ho4 Ho 0.000 0.500 0.869
Ho5 Ho 0.500 0.000 0.131
Ho6 Ho 0.500 0.000 0.377
Ho7 Ho 0.500 0.000 0.623
Ho8 Ho 0.500 0.000 0.869
Ho9 Ho 0.500 0.500 0.000
Ho10 Ho 0.500 0.500 0.256
Ho11 Ho 0.500 0.500 0.500
Ho12 Ho 0.500 0.500 0.744
Tl1 Tl 0.000 0.000 0.257
Tl2 Tl 0.000 0.000 0.500
Tl3 Tl 0.000 0.000 0.743
```

Starting from a structure optimized by DFT (PBE), the PXRD pattern of Sm2HoTmTl2 was computed for CuKα.
Neutral-atom scattering factors, no anomalous dispersion.

Peak list (10 most intense, 2θ = 15–90°, sorted by position)
| 2θ (°) | I_rel |
| --- | --- |
| 29.62 | 18 |
| 31.50 | 56 |
| 31.64 | 23 |
| 31.87 | 100 |
| 32.76 | 81 |
| 34.53 | 33 |
| 35.10 | 58 |
| 37.55 | 25 |
| 52.34 | 19 |
| 61.49 | 17 |

Structural model:
```
data_Sm2HoTmTl2
_cell_length_a 5.113
_cell_length_b 10.082
_cell_length_c 6.831
_cell_angle_alpha 90.00
_cell_angle_beta 90.00
_cell_angle_gamma 90.00
_symmetry_space_group_name_H-M 'P 1'
_symmetry_Int_Tables_number 1
loop_
_symmetry_equiv_pos_as_xyz
'x,y,z'
loop_
_atom_site_label
_atom_site_type_symbol
_atom_site_fract_x
_atom_site_fract_y
_atom_site_fract_z
Sm1 Sm 0.000 0.042 0.000
Sm2 Sm 0.000 0.958 0.500
Sm3 Sm 0.500 0.188 0.276
Sm4 Sm 0.500 0.812 0.776
Ho1 Ho 0.500 0.459 0.907
Ho2 Ho 0.500 0.541 0.407
Tm1 Tm 0.000 0.315 0.625
Tm2 Tm 0.000 0.685 0.125
Tl1 Tl 0.000 0.374 0.164
Tl2 Tl 0.000 0.626 0.664
Tl3 Tl 0.500 0.143 0.745
Tl4 Tl 0.500 0.857 0.245
```

Starting from a structure optimized by DFT (PBE), the PXRD pattern of SmHoTlZn was computed for CuKα.
Neutral-atom scattering factors, no anomalous dispersion.

Peak list (10 most intense, 2θ = 15–90°, sorted by position)
| 2θ (°) | I_rel |
| --- | --- |
| 26.92 | 16 |
| 34.07 | 100 |
| 34.36 | 51 |
| 48.51 | 8 |
| 49.39 | 18 |
| 60.79 | 16 |
| 61.36 | 37 |
| 71.73 | 10 |
| 82.52 | 8 |
| 82.68 | 8 |

Structural model:
```
data_SmHoTlZn
_cell_length_a 3.691
_cell_length_b 3.691
_cell_length_c 7.507
_cell_angle_alpha 90.00
_cell_angle_beta 90.00
_cell_angle_gamma 90.00
_symmetry_space_group_name_H-M 'P 1'
_symmetry_Int_Tables_number 1
loop_
_symmetry_equiv_pos_as_xyz
'x,y,z'
loop_
_atom_site_label
_atom_site_type_symbol
_atom_site_fract_x
_atom_site_fract_y
_atom_site_fract_z
Sm1 Sm 0.000 0.000 0.000
Ho1 Ho 0.000 0.000 0.544
Tl1 Tl 0.500 0.500 0.281
Zn1 Zn 0.500 0.500 0.759
```

Starting from a structure optimized by DFT (PBE), the PXRD pattern of Sm5HoTm12 was computed for CuKα.
Neutral-atom scattering factors, no anomalous dispersion.

Peak list (10 most intense, 2θ = 15–90°, sorted by position)
| 2θ (°) | I_rel |
| --- | --- |
| 31.06 | 100 |
| 36.00 | 34 |
| 36.05 | 17 |
| 51.88 | 30 |
| 61.59 | 14 |
| 61.70 | 7 |
| 61.74 | 21 |
| 64.66 | 6 |
| 84.83 | 9 |
| 87.47 | 8 |

Structural model:
```
data_Sm5HoTm12
_cell_length_a 10.575
_cell_length_b 10.575
_cell_length_c 6.111
_cell_angle_alpha 106.64
_cell_angle_beta 106.64
_cell_angle_gamma 59.93
_symmetry_space_group_name_H-M 'P 1'
_symmetry_Int_Tables_number 1
loop_
_symmetry_equiv_pos_as_xyz
'x,y,z'
loop_
_atom_site_label
_atom_site_type_symbol
_atom_site_fract_x
_atom_site_fract_y
_atom_site_fract_z
Sm1 Sm 0.000 0.000 0.000
Sm2 Sm 0.167 0.167 0.500
Sm3 Sm 0.334 0.334 0.001
Sm4 Sm 0.666 0.666 0.999
Sm5 Sm 0.833 0.833 0.500
Ho1 Ho 0.500 0.500 0.500
Tm1 Tm 0.001 0.665 0.000
Tm2 Tm 0.167 0.501 0.500
Tm3 Tm 0.169 0.831 0.500
Tm4 Tm 0.333 0.667 0.000
Tm5 Tm 0.335 0.999 0.000
Tm6 Tm 0.499 0.833 0.500
Tm7 Tm 0.501 0.167 0.500
Tm8 Tm 0.665 0.001 0.000
Tm9 Tm 0.667 0.333 0.000
Tm10 Tm 0.831 0.169 0.500
Tm11 Tm 0.833 0.499 0.500
Tm12 Tm 0.999 0.335 0.000
```

Starting from a structure optimized by DFT (PBE), the PXRD pattern of Sm4Ho7Tm was computed for CuKα.
Neutral-atom scattering factors, no anomalous dispersion.

Peak list (10 most intense, 2θ = 15–90°, sorted by position)
| 2θ (°) | I_rel |
| --- | --- |
| 30.46 | 35 |
| 31.19 | 38 |
| 31.74 | 100 |
| 32.16 | 62 |
| 32.46 | 34 |
| 32.70 | 17 |
| 43.27 | 11 |
| 45.82 | 12 |
| 46.90 | 13 |
| 57.10 | 18 |

Structural model:
```
data_Sm4Ho7Tm
_cell_length_a 6.509
_cell_length_b 6.793
_cell_length_c 9.041
_cell_angle_alpha 85.48
_cell_angle_beta 77.17
_cell_angle_gamma 81.97
_symmetry_space_group_name_H-M 'P 1'
_symmetry_Int_Tables_number 1
loop_
_symmetry_equiv_pos_as_xyz
'x,y,z'
loop_
_atom_site_label
_atom_site_type_symbol
_atom_site_fract_x
_atom_site_fract_y
_atom_site_fract_z
Sm1 Sm 0.139 0.310 0.283
Sm2 Sm 0.340 0.882 0.693
Sm3 Sm 0.660 0.118 0.307
Sm4 Sm 0.861 0.690 0.717
Ho1 Ho 0.011 0.253 0.950
Ho2 Ho 0.183 0.801 0.359
Ho3 Ho 0.312 0.393 0.616
Ho4 Ho 0.500 0.000 0.000
Ho5 Ho 0.688 0.607 0.384
Ho6 Ho 0.817 0.199 0.641
Ho7 Ho 0.989 0.747 0.050
Tm1 Tm 0.500 0.500 0.000
```

Starting from a structure optimized by DFT (PBE), the PXRD pattern of Sm2HoTm was computed for CuKα.
Neutral-atom scattering factors, no anomalous dispersion.

Peak list (10 most intense, 2θ = 15–90°, sorted by position)
| 2θ (°) | I_rel |
| --- | --- |
| 28.39 | 24 |
| 31.36 | 24 |
| 32.52 | 100 |
| 42.81 | 16 |
| 50.23 | 13 |
| 56.56 | 21 |
| 60.42 | 15 |
| 60.51 | 8 |
| 61.12 | 11 |
| 86.86 | 8 |

Structural model:
```
data_Sm2HoTm
_cell_length_a 7.252
_cell_length_b 11.409
_cell_length_c 3.634
_cell_angle_alpha 90.00
_cell_angle_beta 119.99
_cell_angle_gamma 90.00
_symmetry_space_group_name_H-M 'P 1'
_symmetry_Int_Tables_number 1
loop_
_symmetry_equiv_pos_as_xyz
'x,y,z'
loop_
_atom_site_label
_atom_site_type_symbol
_atom_site_fract_x
_atom_site_fract_y
_atom_site_fract_z
Sm1 Sm 0.000 0.249 0.000
Sm2 Sm 0.000 0.751 0.000
Sm3 Sm 0.500 0.251 0.000
Sm4 Sm 0.500 0.749 0.000
Ho1 Ho 0.166 0.500 0.664
Ho2 Ho 0.666 0.000 0.664
Tm1 Tm 0.167 0.000 0.665
Tm2 Tm 0.667 0.500 0.665
```

Starting from a structure optimized by DFT (PBE), the PXRD pattern of Sm2Ho2Tm7 was computed for CuKα.
Neutral-atom scattering factors, no anomalous dispersion.

Peak list (10 most intense, 2θ = 15–90°, sorted by position)
| 2θ (°) | I_rel |
| --- | --- |
| 25.93 | 23 |
| 31.05 | 28 |
| 31.30 | 49 |
| 32.36 | 27 |
| 32.51 | 100 |
| 33.97 | 40 |
| 34.25 | 30 |
| 45.64 | 16 |
| 50.33 | 13 |
| 56.48 | 15 |

Structural model:
```
data_Sm2Ho2Tm7
_cell_length_a 7.962
_cell_length_b 7.962
_cell_length_c 6.017
_cell_angle_alpha 106.42
_cell_angle_beta 106.42
_cell_angle_gamma 91.75
_symmetry_space_group_name_H-M 'P 1'
_symmetry_Int_Tables_number 1
loop_
_symmetry_equiv_pos_as_xyz
'x,y,z'
loop_
_atom_site_label
_atom_site_type_symbol
_atom_site_fract_x
_atom_site_fract_y
_atom_site_fract_z
Sm1 Sm 0.094 0.094 0.306
Sm2 Sm 0.906 0.906 0.694
Ho1 Ho 0.288 0.712 0.000
Ho2 Ho 0.712 0.288 0.000
Tm1 Tm 0.089 0.564 0.321
Tm2 Tm 0.270 0.270 0.922
Tm3 Tm 0.436 0.911 0.679
Tm4 Tm 0.500 0.500 0.500
Tm5 Tm 0.564 0.089 0.321
Tm6 Tm 0.730 0.730 0.078
Tm7 Tm 0.911 0.436 0.679
```